1.
Calculated XRD peak list of YPa5As6 for Cu Ka, from a crystal structure in Alexandria, relaxed with GGA-PBE.

Peak list (10 most intense, 15 to 90 degrees two-theta, sorted by position)
2theta, I_rel
26.7, 38
30.9, 100
44.2, 75
52.4, 19
54.9, 27
64.3, 13
70.9, 6
73.1, 35
81.4, 26
87.5, 5

Structural model:
Cell lengths 7.0967, 7.0967, 7.0923 Å; angles 99.60, 99.60, 120.02 degrees
Atoms (fractional coordinates):
Y 0.0000 0.0000 0.0000
Pa 0.1656 0.8344 0.5000
Pa 0.3333 0.6667 0.0000
Pa 0.5000 0.5000 0.5000
Pa 0.6667 0.3333 0.0000
Pa 0.8344 0.1656 0.5000
As 0.0833 0.4164 0.2496
As 0.2502 0.2502 0.7508
As 0.4164 0.0833 0.2496
As 0.5836 0.9167 0.7504
As 0.7498 0.7498 0.2492
As 0.9167 0.5836 0.7504

***

2.
Calculated XRD peak list of Cs2Te2Pb for Cu Ka, from a crystal structure in Alexandria, relaxed with GGA-PBE.

Peak list (10 most intense, 15 to 90 degrees two-theta, sorted by position)
2theta, I_rel
20.0, 63
22.6, 26
24.5, 58
25.6, 46
27.5, 24
30.9, 76
31.1, 68
32.2, 100
43.0, 36
56.6, 33

Structural model:
Cell lengths 9.7415, 9.7415, 9.7415 Å; angles 128.25, 73.03, 132.28 degrees
Atoms (fractional coordinates):
Cs 0.1438 0.1660 0.3098
Cs 0.3562 0.6660 0.0222
Cs 0.6438 0.3340 0.9778
Cs 0.8562 0.8340 0.6902
Te 0.1103 0.7114 0.8217
Te 0.3897 0.2114 0.6010
Te 0.6103 0.7886 0.3990
Te 0.8897 0.2886 0.1783
Pb 0.2500 0.7500 0.5000
Pb 0.7500 0.2500 0.5000

***

3.
Calculated XRD peak list of Ho12ErSc6 for Cu Ka, from a crystal structure in Alexandria, relaxed with GGA-PBE.

Peak list (10 most intense, 15 to 90 degrees two-theta, sorted by position)
2theta, I_rel
22.6, 31
23.1, 29
30.1, 40
30.2, 48
30.7, 34
31.0, 34
31.3, 31
31.5, 100
32.0, 46
35.3, 57

Structural model:
Cell lengths 9.1120, 9.1120, 8.5731 Å; angles 102.64, 102.64, 120.00 degrees
Atoms (fractional coordinates):
Ho 0.0730 0.3678 0.4804
Ho 0.1780 0.3916 0.9044
Ho 0.1957 0.8043 0.0000
Ho 0.3678 0.0730 0.4804
Ho 0.3916 0.1780 0.9044
Ho 0.4875 0.4875 0.2982
Ho 0.5125 0.5125 0.7018
Ho 0.6084 0.8220 0.0956
Ho 0.6322 0.9270 0.5196
Ho 0.8043 0.1957 0.0000
Ho 0.8220 0.6084 0.0956
Ho 0.9270 0.6322 0.5196
Er 0.0000 0.0000 0.5000
Sc 0.1043 0.1043 0.1767
Sc 0.2002 0.6288 0.2862
Sc 0.3712 0.7998 0.7138
Sc 0.6288 0.2002 0.2862
Sc 0.7998 0.3712 0.7138
Sc 0.8957 0.8957 0.8233

***

4.
Calculated XRD peak list of Dy3CdGa3 for Cu Ka, from a crystal structure in Alexandria, relaxed with GGA-PBE.

Peak list (10 most intense, 15 to 90 degrees two-theta, sorted by position)
2theta, I_rel
31.7, 100
31.9, 24
32.3, 53
32.5, 23
33.6, 26
36.5, 34
38.9, 48
40.6, 57
52.9, 13
62.5, 18

Structural model:
Cell lengths 5.9527, 5.9527, 14.1947 Å; angles 108.47, 108.47, 43.78 degrees
Atoms (fractional coordinates):
Dy 0.0185 0.0185 0.3718
Dy 0.1058 0.1058 0.9239
Dy 0.2342 0.2342 0.2187
Dy 0.7658 0.7658 0.7813
Dy 0.8942 0.8942 0.0761
Dy 0.9815 0.9815 0.6282
Cd 0.2624 0.2624 0.5987
Cd 0.7376 0.7376 0.4013
Ga 0.3823 0.3823 0.4458
Ga 0.3888 0.3888 0.9265
Ga 0.4776 0.4776 0.7748
Ga 0.5224 0.5224 0.2252
Ga 0.6112 0.6112 0.0735
Ga 0.6177 0.6177 0.5542

***

5.
Calculated XRD peak list of BaCd2CuAu for Cu Ka, from a crystal structure in Alexandria, relaxed with GGA-PBE.

Peak list (10 most intense, 15 to 90 degrees two-theta, sorted by position)
2theta, I_rel
17.5, 14
30.3, 100
34.3, 30
35.5, 54
50.1, 40
51.0, 19
58.9, 15
60.5, 28
62.9, 20
83.1, 15

Structural model:
Cell lengths 5.0614, 5.0614, 5.2352 Å; angles 90.00, 90.00, 90.00 degrees
Atoms (fractional coordinates):
Ba 0.0000 0.0000 0.0000
Cd 0.0000 0.5000 0.5000
Cd 0.5000 0.0000 0.5000
Cu 0.5000 0.5000 0.5000
Au 0.5000 0.5000 0.0000

***

6.
Calculated XRD peak list of Er3Mg2Cd6 for Cu Ka, from a crystal structure in Alexandria, relaxed with GGA-PBE.

Peak list (10 most intense, 15 to 90 degrees two-theta, sorted by position)
2theta, I_rel
21.5, 32
25.4, 25
28.7, 34
30.9, 61
32.9, 24
34.6, 100
37.2, 72
43.5, 64
55.5, 31
58.5, 38

Structural model:
Cell lengths 16.6194, 16.6194, 16.6194 Å; angles 165.62, 165.62, 20.39 degrees
Atoms (fractional coordinates):
Er 0.0000 0.0000 0.0000
Er 0.1752 0.1752 0.0000
Er 0.8248 0.8248 0.0000
Mg 0.3623 0.3623 0.0000
Mg 0.6377 0.6377 0.0000
Cd 0.0748 0.5748 0.5000
Cd 0.2735 0.2735 0.0000
Cd 0.4252 0.9252 0.5000
Cd 0.5748 0.0748 0.5000
Cd 0.7265 0.7265 0.0000
Cd 0.9252 0.4252 0.5000

***

7.
Calculated XRD peak list of Ba5Al2Ge7 for Cu Ka, from a crystal structure in Alexandria, relaxed with GGA-PBE.

Peak list (10 most intense, 15 to 90 degrees two-theta, sorted by position)
2theta, I_rel
25.1, 26
26.0, 49
28.4, 46
30.5, 100
32.0, 22
32.7, 17
34.4, 36
40.4, 20
41.3, 16
54.1, 30

Structural model:
Cell lengths 6.8021, 6.8021, 18.6934 Å; angles 98.63, 98.63, 100.08 degrees
Atoms (fractional coordinates):
Ba 0.0697 0.6232 0.7103
Ba 0.2091 0.7909 0.0000
Ba 0.2516 0.7484 0.5000
Ba 0.2614 0.2614 0.8560
Ba 0.3768 0.9303 0.2897
Ba 0.6232 0.0697 0.7103
Ba 0.7386 0.7386 0.1440
Ba 0.7484 0.2516 0.5000
Ba 0.7909 0.2091 0.0000
Ba 0.9303 0.3768 0.2897
Al 0.2748 0.2748 0.5718
Al 0.4255 0.4255 0.2330
Al 0.5745 0.5745 0.7670
Al 0.7252 0.7252 0.4282
Ge 0.0868 0.0868 0.6544
Ge 0.1389 0.1389 0.1440
Ge 0.1653 0.5408 0.1423
Ge 0.2027 0.2027 0.4333
Ge 0.3199 0.3199 0.0469
Ge 0.4393 0.4393 0.3679
Ge 0.4592 0.8347 0.8577
Ge 0.5408 0.1653 0.1423
Ge 0.5607 0.5607 0.6321
Ge 0.6801 0.6801 0.9531
Ge 0.7973 0.7973 0.5667
Ge 0.8347 0.4592 0.8577
Ge 0.8611 0.8611 0.8560
Ge 0.9132 0.9132 0.3456

***

8.
Calculated XRD peak list of Tm3Si2Ir6 for Cu Ka, from a crystal structure in Alexandria, relaxed with GGA-PBE.

Peak list (10 most intense, 15 to 90 degrees two-theta, sorted by position)
2theta, I_rel
19.4, 7
27.5, 12
33.9, 7
36.7, 30
41.8, 100
60.6, 16
62.4, 11
67.8, 8
76.3, 22
86.1, 14

Structural model:
Cell lengths 7.9438, 7.9438, 7.9438 Å; angles 109.47, 109.47, 109.47 degrees
Atoms (fractional coordinates):
Tm 0.0000 0.2784 0.2784
Tm 0.0000 0.7216 0.7216
Tm 0.2784 0.0000 0.2784
Tm 0.2784 0.2784 0.0000
Tm 0.7216 0.0000 0.7216
Tm 0.7216 0.7216 0.0000
Si 0.0000 0.0000 0.5000
Si 0.0000 0.5000 0.0000
Si 0.5000 0.0000 0.0000
Si 0.5000 0.5000 0.5000
Ir 0.0000 0.3452 0.6548
Ir 0.0000 0.6548 0.3452
Ir 0.3095 0.6548 0.6548
Ir 0.3452 0.0000 0.6548
Ir 0.3452 0.3452 0.6905
Ir 0.3452 0.6548 0.0000
Ir 0.3452 0.6905 0.3452
Ir 0.6548 0.0000 0.3452
Ir 0.6548 0.3095 0.6548
Ir 0.6548 0.3452 0.0000
Ir 0.6548 0.6548 0.3095
Ir 0.6905 0.3452 0.3452